For ZnReSi2Ag, a cell relaxed with GGA-PBE gives the theoretical powder diffraction line list in this record (Cu Kα (weighted mean of Kα1 and Kα2)).

Top 8 peaks for 15 to 90 degrees two-theta, in order of rising 2θ:
2θ 19.31, I 100; 2θ 25.54, I 41; 2θ 27.44, I 81; 2θ 33.46, I 46; 2θ 38.92, I 34; 2θ 39.20, I 59; 2θ 43.80, I 47; 2θ 52.47, I 50

Structure:
abc: 4.5967 4.5967 5.3556
angles: 90.00 90.00 90.00
Fractional coordinates of all 5 atoms:
Zn 0.0000 0.0000 0.0000
Re 0.5000 0.5000 0.5000
Si 0.0000 0.5000 0.5000
Si 0.5000 0.0000 0.5000
Ag 0.5000 0.5000 0.0000

For Tl2ReAg, a cell relaxed with GGA-PBE gives the theoretical powder diffraction line list in this record (Cu Kα (weighted mean of Kα1 and Kα2)).

Top 8 peaks for 15 to 90 degrees two-theta, in order of rising 2θ:
2θ 33.26, I 37; 2θ 36.35, I 28; 2θ 38.00, I 100; 2θ 50.09, I 23; 2θ 62.59, I 23; 2θ 66.49, I 19; 2θ 81.25, I 11; 2θ 85.91, I 10

Structure:
abc: 3.1164 5.3871 9.8869
angles: 90.00 90.00 90.00
Fractional coordinates of all 8 atoms:
Tl 0.0000 0.0000 0.2434
Tl 0.0000 0.0000 0.7566
Tl 0.5000 0.5000 0.2434
Tl 0.5000 0.5000 0.7566
Re 0.0000 0.5000 0.0000
Re 0.5000 0.0000 0.0000
Ag 0.0000 0.5000 0.5000
Ag 0.5000 0.0000 0.5000

For ReAgW2, a cell relaxed with GGA-PBE gives the theoretical powder diffraction line list in this record (Cu Kα (weighted mean of Kα1 and Kα2)).

Top 8 peaks for 15 to 90 degrees two-theta, in order of rising 2θ:
2θ 39.08, I 100; 2θ 45.16, I 33; 2θ 45.99, I 16; 2θ 65.78, I 11; 2θ 66.43, I 21; 2θ 79.25, I 26; 2θ 80.45, I 13; 2θ 83.97, I 11

Structure:
abc: 4.0154 4.0154 7.8940
angles: 90.00 90.00 90.00
Fractional coordinates of all 8 atoms:
Re 0.0000 0.0000 0.0000
Re 0.5000 0.5000 0.5000
Ag 0.0000 0.0000 0.5000
Ag 0.5000 0.5000 0.0000
W 0.0000 0.5000 0.2500
W 0.0000 0.5000 0.7500
W 0.5000 0.0000 0.2500
W 0.5000 0.0000 0.7500

For Ag2Rh, a cell relaxed with GGA-PBE gives the theoretical powder diffraction line list in this record (Cu Kα (weighted mean of Kα1 and Kα2)).

Top 8 peaks for 15 to 90 degrees two-theta, in order of rising 2θ:
2θ 36.45, I 17; 2θ 36.65, I 31; 2θ 37.86, I 58; 2θ 41.17, I 33; 2θ 41.38, I 100; 2θ 41.48, I 67; 2θ 65.73, I 20; 2θ 70.90, I 19

Structure:
abc: 10.6844 2.8268 6.8649
angles: 90.00 106.63 90.00
Fractional coordinates of all 12 atoms:
Ag 0.0000 0.0000 0.0000
Ag 0.0473 0.0000 0.6100
Ag 0.1585 0.5000 0.3340
Ag 0.3248 0.0000 0.6672
Ag 0.5000 0.5000 0.0000
Ag 0.5473 0.5000 0.6100
Ag 0.6585 0.0000 0.3340
Ag 0.8248 0.5000 0.6672
Rh 0.2263 0.5000 0.9572
Rh 0.3738 0.0000 0.2612
Rh 0.7263 0.0000 0.9572
Rh 0.8738 0.5000 0.2612

For Ag2Rh, a cell relaxed with GGA-PBE gives the theoretical powder diffraction line list in this record (Cu Kα (weighted mean of Kα1 and Kα2)).

Top 8 peaks for 15 to 90 degrees two-theta, in order of rising 2θ:
2θ 38.63, I 100; 2θ 42.82, I 18; 2θ 45.92, I 30; 2θ 64.59, I 21; 2θ 66.97, I 9; 2θ 75.63, I 13; 2θ 80.07, I 22; 2θ 82.84, I 10

Structure:
abc: 2.7946 2.7946 12.6707
angles: 90.00 90.00 90.00
Fractional coordinates of all 6 atoms:
Ag 0.0000 0.0000 0.1633
Ag 0.0000 0.0000 0.8367
Ag 0.5000 0.5000 0.3367
Ag 0.5000 0.5000 0.6633
Rh 0.0000 0.0000 0.5000
Rh 0.5000 0.5000 0.0000

For Ag2Rh, a cell relaxed with GGA-PBE gives the theoretical powder diffraction line list in this record (Cu Kα (weighted mean of Kα1 and Kα2)).

Top 8 peaks for 15 to 90 degrees two-theta, in order of rising 2θ:
2θ 36.17, I 43; 2θ 38.64, I 48; 2θ 40.94, I 75; 2θ 41.19, I 100; 2θ 53.96, I 26; 2θ 71.66, I 18; 2θ 77.96, I 19; 2θ 79.96, I 20

Structure:
abc: 8.5821 5.0035 4.6602
angles: 90.00 90.00 90.00
Fractional coordinates of all 12 atoms:
Ag 0.1645 0.1531 0.2500
Ag 0.1645 0.8469 0.7500
Ag 0.3355 0.3469 0.7500
Ag 0.3355 0.6531 0.2500
Ag 0.6645 0.3469 0.7500
Ag 0.6645 0.6531 0.2500
Ag 0.8355 0.1531 0.2500
Ag 0.8355 0.8469 0.7500
Rh 0.0000 0.3701 0.7500
Rh 0.0000 0.6299 0.2500
Rh 0.5000 0.1299 0.2500
Rh 0.5000 0.8701 0.7500

For AgRh, a cell relaxed with GGA-PBE gives the theoretical powder diffraction line list in this record (Cu Kα (weighted mean of Kα1 and Kα2)).

Top 8 peaks for 15 to 90 degrees two-theta, in order of rising 2θ:
2θ 38.11, I 37; 2θ 39.47, I 100; 2θ 45.50, I 66; 2θ 65.38, I 21; 2θ 67.24, I 20; 2θ 78.26, I 13; 2θ 80.00, I 24; 2θ 80.87, I 12

Structure:
abc: 2.7846 2.7846 14.1677
angles: 90.00 90.00 120.00
Fractional coordinates of all 6 atoms:
Ag 0.0000 0.0000 0.0000
Ag 0.3333 0.6667 0.6667
Ag 0.6667 0.3333 0.3333
Rh 0.0000 0.0000 0.5000
Rh 0.3333 0.6667 0.1667
Rh 0.6667 0.3333 0.8333

For AgRuRh2, a cell relaxed with GGA-PBE gives the theoretical powder diffraction line list in this record (Cu Kα (weighted mean of Kα1 and Kα2)).

Top 8 peaks for 15 to 90 degrees two-theta, in order of rising 2θ:
2θ 39.91, I 100; 2θ 45.81, I 15; 2θ 46.73, I 33; 2θ 67.51, I 18; 2θ 68.24, I 12; 2θ 80.72, I 9; 2θ 82.07, I 23; 2θ 86.10, I 9

Structure:
abc: 2.7493 2.7493 7.9237
angles: 90.00 90.00 90.00
Fractional coordinates of all 4 atoms:
Ag 0.0000 0.0000 0.0000
Ru 0.0000 0.0000 0.5000
Rh 0.5000 0.5000 0.2706
Rh 0.5000 0.5000 0.7294

For Ta2Ag2RhS6, a cell relaxed with GGA-PBE gives the theoretical powder diffraction line list in this record (Cu Kα (weighted mean of Kα1 and Kα2)).

Top 8 peaks for 15 to 90 degrees two-theta, in order of rising 2θ:
2θ 19.33, I 29; 2θ 25.39, I 47; 2θ 30.87, I 35; 2θ 34.46, I 100; 2θ 35.20, I 59; 2θ 45.65, I 41; 2θ 47.01, I 27; 2θ 54.25, I 27

Structure:
abc: 6.0198 6.0198 7.3025
angles: 97.66 97.66 122.57
Fractional coordinates of all 11 atoms:
Ta 0.1369 0.8631 0.0000
Ta 0.8631 0.1369 0.0000
Ag 0.3027 0.6973 0.5000
Ag 0.6973 0.3027 0.5000
Rh 0.5000 0.5000 0.0000
S 0.0983 0.4460 0.8007
S 0.2671 0.2671 0.2354
S 0.4460 0.0983 0.8007
S 0.5540 0.9017 0.1993
S 0.7329 0.7329 0.7646
S 0.9017 0.5540 0.1993

For Ag4Sb2Rh, a cell relaxed with GGA-PBE gives the theoretical powder diffraction line list in this record (Cu Kα (weighted mean of Kα1 and Kα2)).

Top 8 peaks for 15 to 90 degrees two-theta, in order of rising 2θ:
2θ 24.91, I 48; 2θ 28.11, I 36; 2θ 35.51, I 100; 2θ 36.18, I 32; 2θ 37.10, I 83; 2θ 51.10, I 34; 2θ 52.30, I 60; 2θ 76.14, I 19

Structure:
abc: 5.0558 5.0558 13.8058
angles: 90.00 90.00 90.00
Fractional coordinates of all 14 atoms:
Ag 0.0000 0.0000 0.1915
Ag 0.0000 0.0000 0.8085
Ag 0.0000 0.5000 0.0000
Ag 0.0000 0.5000 0.5000
Ag 0.5000 0.0000 0.0000
Ag 0.5000 0.0000 0.5000
Ag 0.5000 0.5000 0.3085
Ag 0.5000 0.5000 0.6915
Sb 0.0000 0.0000 0.3879
Sb 0.0000 0.0000 0.6121
Sb 0.5000 0.5000 0.1121
Sb 0.5000 0.5000 0.8879
Rh 0.0000 0.0000 0.0000
Rh 0.5000 0.5000 0.5000

For Sc6Ag5Rh, a cell relaxed with GGA-PBE gives the theoretical powder diffraction line list in this record (Cu Kα (weighted mean of Kα1 and Kα2)).

Top 8 peaks for 15 to 90 degrees two-theta, in order of rising 2θ:
2θ 26.01, I 12; 2θ 26.32, I 23; 2θ 37.34, I 100; 2θ 37.48, I 24; 2θ 37.65, I 25; 2θ 53.50, I 8; 2θ 67.26, I 8; 2θ 67.65, I 15

Structure:
abc: 4.7784 6.8510 7.5764
angles: 90.00 108.18 90.00
Fractional coordinates of all 12 atoms:
Sc 0.0000 0.2360 0.0000
Sc 0.0000 0.7640 0.0000
Sc 0.3407 0.2437 0.6806
Sc 0.3407 0.7563 0.6806
Sc 0.6593 0.2437 0.3194
Sc 0.6593 0.7563 0.3194
Ag 0.1668 0.5000 0.3345
Ag 0.1717 0.0000 0.3444
Ag 0.5000 0.5000 0.0000
Ag 0.8283 0.0000 0.6556
Ag 0.8332 0.5000 0.6655
Rh 0.5000 0.0000 0.0000

For Sc4Ag3Rh, a cell relaxed with GGA-PBE gives the theoretical powder diffraction line list in this record (Cu Kα (weighted mean of Kα1 and Kα2)).

Top 8 peaks for 15 to 90 degrees two-theta, in order of rising 2θ:
2θ 25.94, I 12; 2θ 26.54, I 23; 2θ 37.45, I 100; 2θ 37.89, I 50; 2θ 46.49, I 10; 2θ 54.66, I 16; 2θ 67.29, I 15; 2θ 68.14, I 31

Structure:
abc: 3.3583 3.3583 13.7376
angles: 90.00 90.00 90.00
Fractional coordinates of all 8 atoms:
Sc 0.0000 0.0000 0.1119
Sc 0.0000 0.0000 0.3703
Sc 0.0000 0.0000 0.6297
Sc 0.0000 0.0000 0.8881
Ag 0.5000 0.5000 0.2436
Ag 0.5000 0.5000 0.5000
Ag 0.5000 0.5000 0.7564
Rh 0.5000 0.5000 0.0000